Record 1
KRbHg: calculated X-ray diffraction stick pattern (Cu Kα (λ = 1.5418 Å)), based on the PBE geometry in Alexandria.
Intensities are scaled so that the largest is 100.

The 8 most intense peaks (5 to 70 degrees two-theta), in order of rising 2θ:
d (Å)  Rel. int.
5.858  100
4.141  37
3.446  20
3.302  36
3.140  32
2.986  27
2.889  64
2.055  34

Atomic structure:
```
data_KRbHg
_cell_length_a 9.128
_cell_length_b 9.128
_cell_length_c 9.630
_cell_angle_alpha 90.00
_cell_angle_beta 90.00
_cell_angle_gamma 126.04
_symmetry_space_group_name_H-M 'P 1'
_symmetry_Int_Tables_number 1
loop_
_symmetry_equiv_pos_as_xyz
'x,y,z'
loop_
_atom_site_label
_atom_site_fract_x
_atom_site_fract_y
_atom_site_fract_z
K1 0.204 0.296 0.250
K2 0.296 0.204 0.750
K3 0.704 0.796 0.250
K4 0.796 0.704 0.750
Rb1 0.196 0.804 0.395
Rb2 0.304 0.696 0.895
Rb3 0.696 0.304 0.105
Rb4 0.804 0.196 0.605
Hg1 0.092 0.908 0.049
Hg2 0.408 0.592 0.549
Hg3 0.592 0.408 0.451
Hg4 0.908 0.092 0.951
```

***

Record 2
B6N7: calculated X-ray diffraction stick pattern (Cu Kα (λ = 1.5418 Å)), based on the PBE geometry in Alexandria.
Intensities are scaled so that the largest is 100.

The 8 most intense peaks (5 to 70 degrees two-theta), in order of rising 2θ:
d (Å)  Rel. int.
4.494  27
3.178  100
2.594  8
2.247  52
2.010  28
1.835  92
1.589  7
1.421  9

Atomic structure:
```
data_B6N7
_cell_length_a 4.494
_cell_length_b 4.494
_cell_length_c 4.494
_cell_angle_alpha 90.00
_cell_angle_beta 90.00
_cell_angle_gamma 90.00
_symmetry_space_group_name_H-M 'P 1'
_symmetry_Int_Tables_number 1
loop_
_symmetry_equiv_pos_as_xyz
'x,y,z'
loop_
_atom_site_label
_atom_site_fract_x
_atom_site_fract_y
_atom_site_fract_z
B1 0.000 0.250 0.500
B2 0.000 0.750 0.500
B3 0.250 0.500 0.000
B4 0.500 0.000 0.250
B5 0.500 0.000 0.750
B6 0.750 0.500 0.000
N1 0.000 0.000 0.000
N2 0.000 0.500 0.252
N3 0.000 0.500 0.748
N4 0.252 0.000 0.500
N5 0.500 0.252 0.000
N6 0.500 0.748 0.000
N7 0.748 0.000 0.500
```

***

Record 3
ZrHgH: calculated X-ray diffraction stick pattern (Cu Kα (λ = 1.5418 Å)), based on the PBE geometry in Alexandria.
Intensities are scaled so that the largest is 100.

The 8 most intense peaks (5 to 70 degrees two-theta), in order of rising 2θ:
d (Å)  Rel. int.
2.972  34
2.520  100
2.376  18
1.856  18
1.716  20
1.418  17
1.398  16
1.391  20

Atomic structure:
```
data_ZrHgH
_cell_length_a 3.432
_cell_length_b 3.432
_cell_length_c 4.752
_cell_angle_alpha 90.00
_cell_angle_beta 90.00
_cell_angle_gamma 120.00
_symmetry_space_group_name_H-M 'P 1'
_symmetry_Int_Tables_number 1
loop_
_symmetry_equiv_pos_as_xyz
'x,y,z'
loop_
_atom_site_label
_atom_site_fract_x
_atom_site_fract_y
_atom_site_fract_z
Zr1 0.000 0.000 0.000
Hg1 0.333 0.667 0.500
H1 0.667 0.333 0.000
```

***

Record 4
Ho2ErTh5: calculated X-ray diffraction stick pattern (Cu Kα (λ = 1.5418 Å)), based on the PBE geometry in Alexandria.
Intensities are scaled so that the largest is 100.

The 8 most intense peaks (5 to 70 degrees two-theta), in order of rising 2θ:
d (Å)  Rel. int.
2.906  100
2.521  34
2.509  17
1.779  31
1.519  29
1.514  15
1.454  6
1.452  6

Atomic structure:
```
data_Ho2ErTh5
_cell_length_a 7.121
_cell_length_b 14.277
_cell_length_c 5.017
_cell_angle_alpha 90.00
_cell_angle_beta 90.00
_cell_angle_gamma 90.00
_symmetry_space_group_name_H-M 'P 1'
_symmetry_Int_Tables_number 1
loop_
_symmetry_equiv_pos_as_xyz
'x,y,z'
loop_
_atom_site_label
_atom_site_fract_x
_atom_site_fract_y
_atom_site_fract_z
Ho1 0.250 0.125 0.000
Ho2 0.250 0.625 0.000
Ho3 0.750 0.375 0.000
Ho4 0.750 0.875 0.000
Er1 0.000 0.000 0.500
Er2 0.500 0.500 0.500
Th1 0.000 0.500 0.500
Th2 0.001 0.750 0.500
Th3 0.246 0.373 0.000
Th4 0.254 0.873 0.000
Th5 0.499 0.250 0.500
Th6 0.500 0.000 0.500
Th7 0.501 0.750 0.500
Th8 0.746 0.127 0.000
Th9 0.754 0.627 0.000
Th10 0.999 0.250 0.500
```

***

Record 5
Ho12Ga6N: calculated X-ray diffraction stick pattern (Cu Kα (λ = 1.5418 Å)), based on the PBE geometry in Alexandria.
Intensities are scaled so that the largest is 100.

The 8 most intense peaks (5 to 70 degrees two-theta), in order of rising 2θ:
d (Å)  Rel. int.
3.604  27
3.234  21
3.022  67
2.871  30
2.696  82
2.530  25
2.424  29
2.375  100

Atomic structure:
```
data_Ho12Ga6N
_cell_length_a 7.865
_cell_length_b 7.865
_cell_length_c 7.865
_cell_angle_alpha 93.80
_cell_angle_beta 93.80
_cell_angle_gamma 93.80
_symmetry_space_group_name_H-M 'P 1'
_symmetry_Int_Tables_number 1
loop_
_symmetry_equiv_pos_as_xyz
'x,y,z'
loop_
_atom_site_label
_atom_site_fract_x
_atom_site_fract_y
_atom_site_fract_z
Ho1 0.040 0.706 0.924
Ho2 0.076 0.960 0.294
Ho3 0.195 0.544 0.419
Ho4 0.294 0.076 0.960
Ho5 0.419 0.195 0.544
Ho6 0.456 0.581 0.805
Ho7 0.544 0.419 0.195
Ho8 0.581 0.805 0.456
Ho9 0.706 0.924 0.040
Ho10 0.805 0.456 0.581
Ho11 0.924 0.040 0.706
Ho12 0.960 0.294 0.076
Ga1 0.144 0.357 0.747
Ga2 0.253 0.856 0.643
Ga3 0.357 0.747 0.144
Ga4 0.643 0.253 0.856
Ga5 0.747 0.144 0.357
Ga6 0.856 0.643 0.253
N1 0.000 0.000 0.000
```

***

Record 6
MgCoCu: calculated X-ray diffraction stick pattern (Cu Kα (λ = 1.5418 Å)), based on the PBE geometry in Alexandria.
Intensities are scaled so that the largest is 100.

The 8 most intense peaks (5 to 70 degrees two-theta), in order of rising 2θ:
d (Å)  Rel. int.
4.060  80
3.932  93
2.142  46
2.123  50
2.091  100
2.038  75
2.030  99
1.966  93

Atomic structure:
```
data_MgCoCu
_cell_length_a 4.937
_cell_length_b 4.937
_cell_length_c 4.937
_cell_angle_alpha 122.97
_cell_angle_beta 119.98
_cell_angle_gamma 87.48
_symmetry_space_group_name_H-M 'P 1'
_symmetry_Int_Tables_number 1
loop_
_symmetry_equiv_pos_as_xyz
'x,y,z'
loop_
_atom_site_label
_atom_site_fract_x
_atom_site_fract_y
_atom_site_fract_z
Mg1 0.371 0.121 0.250
Mg2 0.629 0.879 0.750
Co1 0.000 0.000 0.500
Co2 0.000 0.500 0.000
Cu1 0.000 0.500 0.500
Cu2 0.500 0.500 0.000
```